No. 1
Structure and theoretical PXRD pattern of SmSF (the PBE geometry in the Materials Project; λ = 1.5418 Å (Cu Kα)).
Lines closer than 0.1° are merged.

Main lines, by angle (2θ from 10° to 80°):
25.65 deg, 3.472 Å, intensity 32, (0 0 2)
26.26 deg, 3.394 Å, intensity 100, (1 0 1)
32.55 deg, 2.751 Å, intensity 52, (1 1 0)
41.90 deg, 2.156 Å, intensity 58, (1 1 2)
45.60 deg, 1.989 Å, intensity 35, (1 0 3)
46.70 deg, 1.945 Å, intensity 29, (2 0 0)

a b c (Å): 3.8904 3.8904 6.9448
angles (deg): 90.00 90.00 90.00
Fractional positions:
1 Sm 0.2500 0.2500 0.2293
2 Sm 0.7500 0.7500 0.7707
3 S 0.2500 0.2500 0.6453
4 S 0.7500 0.7500 0.3547
5 F 0.2500 0.7500 0.0000
6 F 0.7500 0.2500 0.0000


No. 2
Structure and theoretical PXRD pattern of TbSF (the PBE geometry in the Materials Project; λ = 1.5418 Å (Cu Kα)).
Lines closer than 0.1° are merged.

Main lines, by angle (2θ from 10° to 80°):
25.92 deg, 3.438 Å, intensity 32, (0 0 2)
26.77 deg, 3.331 Å, intensity 100, (1 0 1)
33.28 deg, 2.692 Å, intensity 50, (1 1 0)
42.66 deg, 2.120 Å, intensity 55, (1 1 2)
46.23 deg, 1.964 Å, intensity 34, (1 0 3)
55.61 deg, 1.653 Å, intensity 28, (2 1 1)

a b c (Å): 3.8072 3.8072 6.8759
angles (deg): 90.00 90.00 90.00
Fractional positions:
1 Tb 0.2500 0.2500 0.2286
2 Tb 0.7500 0.7500 0.7714
3 S 0.2500 0.2500 0.6439
4 S 0.7500 0.7500 0.3561
5 F 0.2500 0.7500 0.0000
6 F 0.7500 0.2500 0.0000


No. 3
Structure and theoretical PXRD pattern of Tb2S2F (the PBE geometry in the Materials Project; λ = 1.5418 Å (Cu Kα)).
Lines closer than 0.1° are merged.

Main lines, by angle (2θ from 10° to 80°):
12.74 deg, 6.949 Å, intensity 41, (0 0 2)
19.16 deg, 4.633 Å, intensity 37, (0 0 3)
27.79 deg, 3.211 Å, intensity 100, (1 0 0)
33.97 deg, 2.639 Å, intensity 38, (1 0 3)
39.70 deg, 2.270 Å, intensity 38, (1 1 0)
48.46 deg, 1.879 Å, intensity 40, (1 0 6)

a b c (Å): 3.2106 3.2106 13.8989
angles (deg): 90.00 90.00 90.00
Fractional positions:
1 Tb 0.0000 0.0000 0.1621
2 Tb 0.0000 0.0000 0.8379
3 S 0.0000 0.0000 0.3449
4 S 0.0000 0.0000 0.6551
5 F 0.0000 0.0000 0.0000